Entry 1:
This entry pairs a crystal structure of Nd2Y3Ho7 with its simulated powder diffraction line list. Radiation: Cu Kα (weighted mean of Kα1 and Kα2). Structure: a cell relaxed with PBE.
Intensities are scaled so that the largest is 100.

Peak list (6 most intense, 2θ from 10° to 90°, in order of falling intensity)
- 30.9°, I = 100
- 31.4°, I = 55
- 34.9°, I = 41
- 33.8°, I = 36
- 29.8°, I = 32
- 52.9°, I = 22

Crystal structure
abc: 6.340 3.523 17.452
angles: 90.00 96.11 90.00
Element x y z (fractional)
1 Nd 0.059 0.000 0.173
2 Nd 0.941 0.000 0.827
3 Y 0.451 0.500 0.842
4 Y 0.500 0.000 0.500
5 Y 0.549 0.500 0.158
6 Ho 0.000 0.500 0.500
7 Ho 0.226 0.000 0.666
8 Ho 0.256 0.000 0.999
9 Ho 0.274 0.500 0.336
10 Ho 0.726 0.500 0.664
11 Ho 0.744 0.000 0.001
12 Ho 0.774 0.000 0.334

Entry 2:
This entry pairs a crystal structure of Nd2Y3Ho3 with its simulated powder diffraction line list. Radiation: Cu Kα (weighted mean of Kα1 and Kα2). Structure: a cell relaxed with PBE.
Intensities are scaled so that the largest is 100.

Peak list (6 most intense, 2θ from 10° to 90°, in order of falling intensity)
- 30.6°, I = 100
- 35.4°, I = 34
- 60.5°, I = 28
- 51.0°, I = 24
- 35.5°, I = 17
- 60.8°, I = 14

Crystal structure
abc: 10.720 10.720 10.720
angles: 152.62 152.62 39.11
Element x y z (fractional)
1 Nd 0.250 0.250 0.000
2 Nd 0.750 0.750 0.000
3 Y 0.000 0.000 0.000
4 Y 0.377 0.877 0.500
5 Y 0.623 0.123 0.500
6 Ho 0.123 0.623 0.500
7 Ho 0.500 0.500 0.000
8 Ho 0.877 0.377 0.500